Diffraction record for SrFeCu. The powder XRD pattern is calculated, not measured: it uses a PBE-relaxed structure and CuKα.
Lines closer than 0.1° are merged.

Cell and atoms:
a b c (Å): 6.600 6.600 6.600
angles (deg): 90.00 90.00 90.00
Fractional coordinates of all 12 atoms:
Sr 0.000 0.000 0.000
Sr 0.000 0.500 0.500
Sr 0.500 0.000 0.500
Sr 0.500 0.500 0.000
Fe 0.000 0.000 0.500
Fe 0.000 0.500 0.000
Fe 0.500 0.000 0.000
Fe 0.500 0.500 0.500
Cu 0.250 0.250 0.750
Cu 0.250 0.750 0.250
Cu 0.750 0.250 0.250
Cu 0.750 0.750 0.750

Most intense lines, 10° ≤ 2θ ≤ 90°, sorted by position:
Position (°2θ)	d [Å]	I/Imax
23.35	3.810	30
27.02	3.300	17
38.59	2.333	100
45.59	1.990	15
55.71	1.650	16
69.82	1.347	32


Diffraction record for NdDyZn2Sn2. The powder XRD pattern is calculated, not measured: it uses a PBE-relaxed structure and CuKα.
Lines closer than 0.1° are merged.

Cell and atoms:
a b c (Å): 4.555 4.555 16.093
angles (deg): 90.00 90.00 120.00
Fractional coordinates of all 12 atoms:
Nd 0.000 0.000 0.250
Nd 0.000 0.000 0.750
Dy 0.000 0.000 0.000
Dy 0.000 0.000 0.500
Zn 0.333 0.667 0.155
Zn 0.333 0.667 0.345
Zn 0.667 0.333 0.655
Zn 0.667 0.333 0.845
Sn 0.333 0.667 0.612
Sn 0.333 0.667 0.888
Sn 0.667 0.333 0.112
Sn 0.667 0.333 0.388

Most intense lines, 10° ≤ 2θ ≤ 90°, sorted by position:
Position (°2θ)	d [Å]	I/Imax
28.08	3.178	15
31.77	2.817	100
39.57	2.277	60
51.61	1.771	26
61.51	1.508	17
66.93	1.398	24


Diffraction record for TePd14. The powder XRD pattern is calculated, not measured: it uses a PBE-relaxed structure and CuKα.
Lines closer than 0.1° are merged.

Cell and atoms:
a b c (Å): 4.790 7.313 13.701
angles (deg): 88.17 86.54 89.05
Fractional coordinates of all 30 atoms:
Te 0.160 0.216 0.041
Te 0.840 0.784 0.959
Pd 0.048 0.589 0.806
Pd 0.071 0.744 0.612
Pd 0.095 0.896 0.421
Pd 0.115 0.047 0.231
Pd 0.209 0.238 0.841
Pd 0.229 0.385 0.645
Pd 0.257 0.538 0.452
Pd 0.281 0.691 0.259
Pd 0.300 0.850 0.063
Pd 0.369 0.876 0.863
Pd 0.394 0.029 0.674
Pd 0.417 0.180 0.484
Pd 0.441 0.334 0.294
Pd 0.462 0.487 0.098
Pd 0.538 0.513 0.902
Pd 0.559 0.666 0.706
Pd 0.583 0.820 0.516
Pd 0.606 0.971 0.326
Pd 0.631 0.124 0.137
Pd 0.700 0.150 0.937
Pd 0.719 0.309 0.741
Pd 0.743 0.462 0.548
Pd 0.771 0.615 0.355
Pd 0.791 0.762 0.159
Pd 0.885 0.953 0.769
Pd 0.905 0.104 0.579
Pd 0.929 0.256 0.388
Pd 0.952 0.411 0.194

Most intense lines, 10° ≤ 2θ ≤ 90°, sorted by position:
Position (°2θ)	d [Å]	I/Imax
38.89	2.316	100
39.61	2.275	60
40.71	2.216	45
44.34	2.043	41
46.39	1.957	26
47.14	1.928	26


Diffraction record for Pr2Nd2Se3O4. The powder XRD pattern is calculated, not measured: it uses a PBE-relaxed structure and CuKα.
Lines closer than 0.1° are merged.

Cell and atoms:
a b c (Å): 8.477 6.803 6.803
angles (deg): 34.48 90.00 90.00
Fractional coordinates of all 11 atoms:
Pr 0.237 0.000 0.000
Pr 0.763 0.000 0.000
Nd 0.000 0.316 0.316
Nd 0.500 0.332 0.332
Se 0.000 0.629 0.629
Se 0.351 0.673 0.673
Se 0.649 0.673 0.673
O 0.000 0.903 0.903
O 0.244 0.403 0.403
O 0.500 0.931 0.931
O 0.756 0.403 0.403

Most intense lines, 10° ≤ 2θ ≤ 90°, sorted by position:
Position (°2θ)	d [Å]	I/Imax
25.09	3.550	54
30.28	2.952	100
31.38	2.850	54
34.80	2.578	28
44.97	2.016	27
46.78	1.942	23